Starting from a crystal structure in Alexandria, relaxed with PBE, the powder diffractogram of LiNi2Cl6 was computed for Cu Kα (weighted mean of Kα1 and Kα2).
No peak broadening, texture or thermal motion is included.

Crystal structure
a b c (Å): 6.5617 6.5617 10.1850
angles (deg): 117.18 117.18 31.09
Element x y z (fractional)
Li (0.0000, 0.0000, 0.0000)
Ni (0.3381, 0.3381, 0.6666)
Ni (0.6619, 0.6619, 0.3334)
Cl (0.0211, 0.0211, 0.2627)
Cl (0.3137, 0.3137, 0.4264)
Cl (0.3400, 0.3400, 0.8873)
Cl (0.6600, 0.6600, 0.1127)
Cl (0.6863, 0.6863, 0.5736)
Cl (0.9789, 0.9789, 0.7373)

Most intense lines, 2θ from 5° to 70°, low angle first:
9.86 deg, I 33.5; 14.20 deg, I 100.0; 29.74 deg, I 14.1; 35.16 deg, I 63.7; 35.37 deg, I 27.7; 45.12 deg, I 18.3; 49.16 deg, I 25.4; 52.22 deg, I 16.8



Starting from a crystal structure in Alexandria, relaxed with PBE, the powder diffractogram of Li6NiCl8 was computed for Cu Kα (weighted mean of Kα1 and Kα2).
No peak broadening, texture or thermal motion is included.

Crystal structure
a b c (Å): 7.2548 7.2548 7.2548
angles (deg): 60.00 60.00 60.00
Element x y z (fractional)
Li (0.0000, 0.0000, 0.5000)
Li (0.0000, 0.5000, 0.0000)
Li (0.0000, 0.5000, 0.5000)
Li (0.5000, 0.0000, 0.0000)
Li (0.5000, 0.0000, 0.5000)
Li (0.5000, 0.5000, 0.0000)
Ni (0.0000, 0.0000, 0.0000)
Cl (0.2357, 0.2357, 0.7643)
Cl (0.2357, 0.7643, 0.2357)
Cl (0.2357, 0.7643, 0.7643)
Cl (0.2500, 0.2500, 0.2500)
Cl (0.7500, 0.7500, 0.7500)
Cl (0.7643, 0.2357, 0.2357)
Cl (0.7643, 0.2357, 0.7643)
Cl (0.7643, 0.7643, 0.2357)

Most intense lines, 2θ from 5° to 70°, low angle first:
14.96 deg, I 58.0; 28.86 deg, I 16.6; 30.17 deg, I 51.8; 34.98 deg, I 100.0; 45.96 deg, I 14.6; 50.31 deg, I 61.3; 59.79 deg, I 13.6; 62.74 deg, I 19.3



Starting from a crystal structure in Alexandria, relaxed with PBE, the powder diffractogram of LiTl2NiCl5 was computed for Cu Kα (weighted mean of Kα1 and Kα2).
No peak broadening, texture or thermal motion is included.

Crystal structure
a b c (Å): 9.7337 9.7337 13.1803
angles (deg): 90.00 90.00 156.54
Element x y z (fractional)
Li (0.2158, 0.7842, 0.5000)
Li (0.7842, 0.2158, 0.0000)
Tl (0.1325, 0.8675, 0.7827)
Tl (0.1341, 0.8659, 0.1450)
Tl (0.8659, 0.1341, 0.6450)
Tl (0.8675, 0.1325, 0.2827)
Ni (0.4333, 0.5667, 0.9024)
Ni (0.5667, 0.4333, 0.4024)
Cl (0.0489, 0.9511, 0.4814)
Cl (0.2956, 0.7044, 0.1171)
Cl (0.3203, 0.6797, 0.8546)
Cl (0.3400, 0.6600, 0.4679)
Cl (0.4950, 0.5050, 0.7591)
Cl (0.5050, 0.4950, 0.2591)
Cl (0.6600, 0.3400, 0.9679)
Cl (0.6797, 0.3203, 0.3546)
Cl (0.7044, 0.2956, 0.6171)
Cl (0.9511, 0.0489, 0.9814)

Most intense lines, 2θ from 5° to 70°, low angle first:
18.62 deg, I 75.6; 22.28 deg, I 100.0; 23.00 deg, I 46.7; 29.85 deg, I 59.3; 30.77 deg, I 98.2; 35.36 deg, I 52.6; 38.67 deg, I 48.6; 40.22 deg, I 44.7



Starting from a crystal structure in Alexandria, relaxed with PBE, the powder diffractogram of Li3NpCl6 was computed for Cu Kα (weighted mean of Kα1 and Kα2).
No peak broadening, texture or thermal motion is included.

Crystal structure
a b c (Å): 7.4037 7.4042 7.4567
angles (deg): 62.22 62.22 61.92
Element x y z (fractional)
Li (0.0000, 0.0000, 0.0000)
Li (0.0000, 0.5000, 0.0000)
Li (0.5000, 0.0000, 0.0000)
Np (0.5000, 0.5000, 0.5000)
Cl (0.2203, 0.7307, 0.7773)
Cl (0.2422, 0.2419, 0.7809)
Cl (0.2721, 0.7765, 0.2198)
Cl (0.7279, 0.2235, 0.7802)
Cl (0.7578, 0.7581, 0.2191)
Cl (0.7797, 0.2693, 0.2227)

Most intense lines, 2θ from 5° to 70°, low angle first:
14.15 deg, I 13.8; 14.29 deg, I 45.5; 14.86 deg, I 31.2; 16.64 deg, I 100.0; 27.74 deg, I 20.0; 28.36 deg, I 19.6; 33.65 deg, I 38.8; 38.34 deg, I 16.0



Starting from a crystal structure in Alexandria, relaxed with PBE, the powder diffractogram of Li3NpCl6 was computed for Cu Kα (weighted mean of Kα1 and Kα2).
No peak broadening, texture or thermal motion is included.

Crystal structure
a b c (Å): 6.6502 6.7847 12.3091
angles (deg): 90.00 122.06 90.00
Element x y z (fractional)
Li (0.0000, 0.0000, 0.0000)
Li (0.0000, 0.5000, 0.5000)
Li (0.2585, 0.0105, 0.7414)
Li (0.2585, 0.4895, 0.2414)
Li (0.7415, 0.5105, 0.7586)
Li (0.7415, 0.9895, 0.2586)
Np (0.5000, 0.0000, 0.5000)
Np (0.5000, 0.5000, 0.0000)
Cl (0.0788, 0.1807, 0.4302)
Cl (0.0788, 0.3193, 0.9302)
Cl (0.2467, 0.6596, 0.4126)
Cl (0.2467, 0.8404, 0.9126)
Cl (0.4006, 0.1263, 0.2609)
Cl (0.4006, 0.3737, 0.7609)
Cl (0.5994, 0.6263, 0.2391)
Cl (0.5994, 0.8737, 0.7391)
Cl (0.7533, 0.1596, 0.0874)
Cl (0.7533, 0.3404, 0.5874)
Cl (0.9212, 0.6807, 0.0698)
Cl (0.9212, 0.8193, 0.5698)

Most intense lines, 2θ from 5° to 70°, low angle first:
15.58 deg, I 100.0; 15.72 deg, I 46.9; 15.88 deg, I 46.5; 17.00 deg, I 45.1; 18.68 deg, I 64.3; 30.79 deg, I 46.0; 31.07 deg, I 38.4; 39.58 deg, I 34.1



Starting from a crystal structure in Alexandria, relaxed with PBE, the powder diffractogram of LiPm2Cl2O2 was computed for Cu Kα (weighted mean of Kα1 and Kα2).
No peak broadening, texture or thermal motion is included.

Crystal structure
a b c (Å): 3.9710 3.9710 11.5476
angles (deg): 90.00 90.00 120.00
Element x y z (fractional)
Li (0.0000, 0.0000, 0.0000)
Pm (0.3333, 0.6667, 0.6227)
Pm (0.6667, 0.3333, 0.3773)
Cl (0.0000, 0.0000, 0.2127)
Cl (0.0000, 0.0000, 0.7873)
O (0.3333, 0.6667, 0.4197)
O (0.6667, 0.3333, 0.5803)

Most intense lines, 2θ from 5° to 70°, low angle first:
7.66 deg, I 100.0; 27.05 deg, I 34.9; 30.25 deg, I 32.3; 34.99 deg, I 16.9; 40.81 deg, I 9.9; 45.69 deg, I 14.1; 46.40 deg, I 8.0; 54.65 deg, I 7.0



Starting from a crystal structure in Alexandria, relaxed with PBE, the powder diffractogram of LiPr2Cl2O2 was computed for Cu Kα (weighted mean of Kα1 and Kα2).
No peak broadening, texture or thermal motion is included.

Crystal structure
a b c (Å): 4.0511 4.0511 11.5727
angles (deg): 90.00 90.00 120.00
Element x y z (fractional)
Li (0.0000, 0.0000, 0.0000)
Pr (0.3333, 0.6667, 0.6243)
Pr (0.6667, 0.3333, 0.3757)
Cl (0.0000, 0.0000, 0.2089)
Cl (0.0000, 0.0000, 0.7911)
O (0.3333, 0.6667, 0.4181)
O (0.6667, 0.3333, 0.5819)

Most intense lines, 2θ from 5° to 70°, low angle first:
7.64 deg, I 100.0; 26.55 deg, I 38.5; 29.78 deg, I 34.0; 34.56 deg, I 18.2; 40.41 deg, I 10.2; 44.74 deg, I 15.7; 45.46 deg, I 8.5; 55.37 deg, I 7.5



Starting from a crystal structure in Alexandria, relaxed with PBE, the powder diffractogram of LiPr2Ta2Cl2O7 was computed for Cu Kα (weighted mean of Kα1 and Kα2).
No peak broadening, texture or thermal motion is included.

Crystal structure
a b c (Å): 8.0704 8.0704 7.0314
angles (deg): 113.59 113.59 29.12
Element x y z (fractional)
Li (0.0000, 0.0000, 0.0000)
Pr (0.1908, 0.1908, 0.6548)
Pr (0.8092, 0.8092, 0.3452)
Ta (0.4649, 0.4649, 0.6919)
Ta (0.5351, 0.5351, 0.3081)
Cl (0.1792, 0.1792, 0.0625)
Cl (0.8208, 0.8208, 0.9375)
O (0.0412, 0.0412, 0.3149)
O (0.3238, 0.3238, 0.5688)
O (0.4183, 0.4183, 0.3509)
O (0.5000, 0.5000, 0.0000)
O (0.5817, 0.5817, 0.6491)
O (0.6762, 0.6762, 0.4312)
O (0.9588, 0.9588, 0.6851)

Most intense lines, 2θ from 5° to 70°, low angle first:
13.83 deg, I 61.2; 22.79 deg, I 32.0; 23.05 deg, I 39.8; 28.10 deg, I 44.0; 28.79 deg, I 66.6; 28.96 deg, I 100.0; 34.15 deg, I 62.8; 44.66 deg, I 48.6



Starting from a crystal structure in Alexandria, relaxed with PBE, the powder diffractogram of LiPr2Ta2Cl2O7 was computed for Cu Kα (weighted mean of Kα1 and Kα2).
No peak broadening, texture or thermal motion is included.

Crystal structure
a b c (Å): 8.7491 8.7491 6.8063
angles (deg): 105.82 105.82 26.71
Element x y z (fractional)
Li (0.0000, 0.0000, 0.0000)
Pr (0.1500, 0.1500, 0.4292)
Pr (0.7730, 0.7730, 0.9608)
Ta (0.3885, 0.3885, 0.7916)
Ta (0.4659, 0.4659, 0.3091)
Cl (0.1388, 0.1388, 0.9814)
Cl (0.7637, 0.7637, 0.3617)
O (0.2623, 0.2623, 0.7235)
O (0.3553, 0.3553, 0.1003)
O (0.4259, 0.4259, 0.5450)
O (0.4898, 0.4898, 0.0096)
O (0.5873, 0.5873, 0.4493)
O (0.8870, 0.8870, 0.8068)
O (0.9826, 0.9826, 0.2949)

Most intense lines, 2θ from 5° to 70°, low angle first:
10.83 deg, I 40.3; 14.80 deg, I 68.3; 19.63 deg, I 35.2; 22.66 deg, I 33.4; 27.30 deg, I 43.0; 27.48 deg, I 100.0; 28.59 deg, I 36.0; 35.59 deg, I 38.8



Starting from a crystal structure in Alexandria, relaxed with PBE, the powder diffractogram of LiPr2Ta2Cl2O7 was computed for Cu Kα (weighted mean of Kα1 and Kα2).
No peak broadening, texture or thermal motion is included.

Crystal structure
a b c (Å): 8.2832 8.2832 6.8532
angles (deg): 110.42 110.42 28.16
Element x y z (fractional)
Li (0.0000, 0.0000, 0.0000)
Pr (0.1962, 0.1962, 0.3877)
Pr (0.5632, 0.5632, 0.6670)
Ta (0.8332, 0.8332, 0.7228)
Ta (0.9132, 0.9132, 0.3357)
Cl (0.1861, 0.1861, 0.9530)
Cl (0.5641, 0.5641, 0.1070)
O (0.0498, 0.0498, 0.4501)
O (0.3267, 0.3267, 0.7074)
O (0.4216, 0.4216, 0.3605)
O (0.6980, 0.6980, 0.5961)
O (0.7994, 0.7994, 0.3835)
O (0.8849, 0.8849, 0.0341)
O (0.9543, 0.9543, 0.6964)

Most intense lines, 2θ from 5° to 70°, low angle first:
13.85 deg, I 69.7; 22.80 deg, I 81.7; 27.92 deg, I 44.0; 28.45 deg, I 100.0; 29.49 deg, I 59.4; 31.72 deg, I 27.5; 34.60 deg, I 81.6; 44.98 deg, I 31.3



Starting from a crystal structure in Alexandria, relaxed with PBE, the powder diffractogram of LiPu2Cl2O2 was computed for Cu Kα (weighted mean of Kα1 and Kα2).
No peak broadening, texture or thermal motion is included.

Crystal structure
a b c (Å): 7.9558 7.9558 7.9558
angles (deg): 151.44 151.44 40.84
Element x y z (fractional)
Li (0.0000, 0.0000, 0.0000)
Pu (0.3984, 0.3984, 0.0000)
Pu (0.6016, 0.6016, 0.0000)
Cl (0.1819, 0.1819, 0.0000)
Cl (0.8181, 0.8181, 0.0000)
O (0.0000, 0.5000, 0.5000)
O (0.5000, 0.0000, 0.5000)

Most intense lines, 2θ from 5° to 70°, low angle first:
23.44 deg, I 100.0; 23.87 deg, I 26.8; 32.25 deg, I 51.8; 37.89 deg, I 73.2; 40.52 deg, I 39.1; 46.26 deg, I 24.2; 52.49 deg, I 24.7; 61.27 deg, I 36.4



Starting from a crystal structure in Alexandria, relaxed with PBE, the powder diffractogram of Rb12LiCl4O4 was computed for Cu Kα (weighted mean of Kα1 and Kα2).
No peak broadening, texture or thermal motion is included.

Crystal structure
a b c (Å): 8.5860 8.8965 9.5123
angles (deg): 87.67 87.79 89.35
Element x y z (fractional)
Rb (0.0000, 0.0000, 0.0000)
Rb (0.0055, 0.8809, 0.4264)
Rb (0.0352, 0.4005, 0.9174)
Rb (0.2176, 0.2709, 0.2594)
Rb (0.2409, 0.1008, 0.6766)
Rb (0.3850, 0.7074, 0.4708)
Rb (0.4103, 0.9527, 0.1128)
Rb (0.5176, 0.3537, 0.9186)
Rb (0.6095, 0.0519, 0.4361)
Rb (0.6999, 0.7892, 0.7479)
Rb (0.7098, 0.6356, 0.1714)
Rb (0.8224, 0.4681, 0.4982)
Li (0.3088, 0.6812, 0.9397)
Cl (0.1142, 0.7376, 0.7580)
Cl (0.1166, 0.6664, 0.1489)
Cl (0.8043, 0.2589, 0.1915)
Cl (0.8266, 0.1619, 0.7205)
O (0.2453, 0.1841, 0.9739)
O (0.3036, 0.0084, 0.3990)
O (0.5139, 0.6718, 0.9570)
O (0.7023, 0.7439, 0.4511)

Most intense lines, 2θ from 5° to 70°, low angle first:
23.87 deg, I 46.4; 25.11 deg, I 88.2; 27.48 deg, I 65.7; 28.04 deg, I 48.2; 29.58 deg, I 100.0; 30.14 deg, I 45.2; 31.26 deg, I 47.3; 32.80 deg, I 54.4